Diffraction record for PuOF3. The X-ray powder pattern is calculated, not measured: it uses DFT lattice parameters and positions (PBE) and Cu Kα (weighted mean of Kα1 and Kα2).

Cell and atoms:
Cell lengths 5.6796, 5.6796, 5.4546 Å; angles 109.15, 109.15, 83.50 degrees
Atoms (fractional coordinates):
1 Pu 0.2262 0.2262 0.4817
2 Pu 0.7738 0.7738 0.5183
3 O 0.4849 0.4849 0.3609
4 O 0.5151 0.5151 0.6391
5 F 0.0458 0.5383 0.7506
6 F 0.0599 0.0599 0.7537
7 F 0.4617 0.9542 0.2494
8 F 0.5383 0.0458 0.7506
9 F 0.9401 0.9401 0.2463
10 F 0.9542 0.4617 0.2494

Largest 10 diffraction maxima, in order of rising 2θ, 5 to 70 degrees two-theta:
2θ (°)	Rel. int.
18.11	100.0
22.41	50.9
23.37	47.7
23.52	48.9
29.85	60.4
32.72	27.0
33.40	18.9
41.51	33.6
43.18	21.8
44.05	21.5